The following is a simulated powder XRD pattern of HoV2O2. It was derived from DFT lattice parameters and positions (GGA+U), using Cu Kα (weighted mean of Kα1 and Kα2).
Lines closer than 0.1° are merged.

Structural model:
Lattice parameters (Å, degrees): 8.317 8.317 9.844 90.00 90.00 90.00
Space group I4_1/amd (No. 141, origin choice 2)
Asymmetric unit:
Ho 0.000 0.000 0.000
V 0.000 0.043 0.365
O 0.000 0.093 0.778

Peak list (8 most intense, 2θ = 10–90°, sorted by position)
6.353 Å, 13.94°, I = 43.2, (1 0 1); 3.176 Å, 28.09°, I = 57.0, (2 0 2); 3.052 Å, 29.26°, I = 54.5, (1 0 3); 2.940 Å, 30.40°, I = 100.0, (2 2 0); 2.461 Å, 36.52°, I = 37.9, (2 1 3); 2.079 Å, 43.53°, I = 31.1, (4 0 0); 1.887 Å, 48.22°, I = 40.5, (3 2 3); 1.740 Å, 52.61°, I = 41.0, (4 2 2)


The following is a simulated powder XRD pattern of MgMn6O7F5. It was derived from DFT lattice parameters and positions (GGA+U), using Cu Kα (weighted mean of Kα1 and Kα2).
Lines closer than 0.1° are merged.

Structural model:
Lattice parameters (Å, degrees): 5.116 5.848 7.606 85.39 86.95 83.68
Space group P1 (No. 1)
Asymmetric unit:
Mg 0.000 0.000 0.000
Mn 0.484 0.158 0.808
Mn 0.493 0.535 0.492
Mn 0.502 0.893 0.183
Mn 0.850 0.633 0.812
Mn 0.947 0.018 0.490
Mn 0.992 0.410 0.196
O 0.137 0.070 0.249
O 0.370 0.899 0.945
O 0.591 0.448 0.724
O 0.656 0.849 0.413
O 0.782 0.347 0.404
O 0.820 0.986 0.746
O 0.831 0.703 0.082
F 0.131 0.341 0.933
F 0.148 0.681 0.585
F 0.246 0.173 0.588
F 0.324 0.566 0.260
F 0.676 0.201 0.063

Peak list (8 most intense, 2θ = 10–90°, sorted by position)
3.702 Å, 24.04°, I = 97.5, (1 1 1); 3.295 Å, 27.06°, I = 100.0, (-1 1 1); 2.894 Å, 30.89°, I = 31.4, (1 1 2); 2.648 Å, 33.85°, I = 32.8, (1 1 -2); 2.641 Å, 33.94°, I = 37.0, (0 2 -1); 2.602 Å, 34.46°, I = 27.5, (1 -1 2); 2.525 Å, 35.56°, I = 26.7, (0 0 3); 1.648 Å, 55.77°, I = 27.1, (-2 2 2)